[1]
The following is a simulated X-ray diffraction stick pattern of Ac3PrS4. It was derived from a structure optimized by DFT (PBE), using Cu Ka.
Kinematic intensities with the Lorentz-polarization factor, no thermal factor.

Main lines, low angle first (2θ = 10–80°):
d = 3.480 Å, I = 96, (1 1 1)
d = 3.014 Å, I = 100, (2 0 0)
d = 2.131 Å, I = 75, (2 2 0)
d = 1.818 Å, I = 50, (3 1 1)
d = 1.740 Å, I = 27, (2 2 2)
d = 1.383 Å, I = 21, (3 3 1)
d = 1.348 Å, I = 35, (4 2 0)
d = 1.231 Å, I = 26, (4 2 2)

Atomic structure:
Lattice parameters (Å, degrees): 6.0282 6.0282 6.0282 90.00 90.00 90.00
Atoms (fractional coordinates):
Ac 0.0000 0.0000 0.5000
Ac 0.0000 0.5000 0.0000
Ac 0.5000 0.0000 0.0000
Pr 0.5000 0.5000 0.5000
S 0.0000 0.0000 0.0000
S 0.0000 0.5000 0.5000
S 0.5000 0.0000 0.5000
S 0.5000 0.5000 0.0000

---

[2]
The following is a simulated X-ray diffraction stick pattern of Gd2InSi. It was derived from a structure optimized by DFT (PBE), using Cu Ka.
Kinematic intensities with the Lorentz-polarization factor, no thermal factor.

Main lines, low angle first (2θ = 10–80°):
d = 3.383 Å, I = 12, (1 1 0)
d = 2.654 Å, I = 100, (1 1 1)
d = 2.392 Å, I = 37, (2 0 0)
d = 2.140 Å, I = 15, (0 0 2)
d = 1.692 Å, I = 13, (2 2 0)
d = 1.595 Å, I = 21, (2 0 2)
d = 1.426 Å, I = 29, (3 1 1)
d = 1.327 Å, I = 12, (2 2 2)

Atomic structure:
Lattice parameters (Å, degrees): 4.7843 4.7843 4.2793 90.00 90.00 90.00
Atoms (fractional coordinates):
Gd 0.0000 0.5000 0.0000
Gd 0.5000 0.0000 0.0000
In 0.0000 0.0000 0.5000
Si 0.5000 0.5000 0.5000

---

Copy entry 2 word for word.
The following is a simulated X-ray diffraction stick pattern of Gd2InSi. It was derived from a structure optimized by DFT (PBE), using Cu Ka.
Kinematic intensities with the Lorentz-polarization factor, no thermal factor.

Main lines, low angle first (2θ = 10–80°):
d = 3.383 Å, I = 12, (1 1 0)
d = 2.654 Å, I = 100, (1 1 1)
d = 2.392 Å, I = 37, (2 0 0)
d = 2.140 Å, I = 15, (0 0 2)
d = 1.692 Å, I = 13, (2 2 0)
d = 1.595 Å, I = 21, (2 0 2)
d = 1.426 Å, I = 29, (3 1 1)
d = 1.327 Å, I = 12, (2 2 2)

Atomic structure:
Lattice parameters (Å, degrees): 4.7843 4.7843 4.2793 90.00 90.00 90.00
Atoms (fractional coordinates):
Gd 0.0000 0.5000 0.0000
Gd 0.5000 0.0000 0.0000
In 0.0000 0.0000 0.5000
Si 0.5000 0.5000 0.5000

---

Please write out number 1 again, unchanged.
The following is a simulated X-ray diffraction stick pattern of Ac3PrS4. It was derived from a structure optimized by DFT (PBE), using Cu Ka.
Kinematic intensities with the Lorentz-polarization factor, no thermal factor.

Main lines, low angle first (2θ = 10–80°):
d = 3.480 Å, I = 96, (1 1 1)
d = 3.014 Å, I = 100, (2 0 0)
d = 2.131 Å, I = 75, (2 2 0)
d = 1.818 Å, I = 50, (3 1 1)
d = 1.740 Å, I = 27, (2 2 2)
d = 1.383 Å, I = 21, (3 3 1)
d = 1.348 Å, I = 35, (4 2 0)
d = 1.231 Å, I = 26, (4 2 2)

Atomic structure:
Lattice parameters (Å, degrees): 6.0282 6.0282 6.0282 90.00 90.00 90.00
Atoms (fractional coordinates):
Ac 0.0000 0.0000 0.5000
Ac 0.0000 0.5000 0.0000
Ac 0.5000 0.0000 0.0000
Pr 0.5000 0.5000 0.5000
S 0.0000 0.0000 0.0000
S 0.0000 0.5000 0.5000
S 0.5000 0.0000 0.5000
S 0.5000 0.5000 0.0000